Record 1
# PaNbC
Computed powder XRD pattern, Cu Ka. Input: a crystal structure in Alexandria, relaxed with PBE.

Principal peaks in the range 2θ = 5–70°, low angle first:
- 17.34 deg, rel. 38.5
- 30.92 deg, rel. 65.9
- 31.56 deg, rel. 60.1
- 35.10 deg, rel. 100.0
- 38.65 deg, rel. 43.7
- 40.14 deg, rel. 36.2
- 46.10 deg, rel. 23.6
- 49.68 deg, rel. 20.0
- 50.29 deg, rel. 18.9
- 57.73 deg, rel. 24.8

Cell and atoms:
Cell lengths 7.5267, 6.7793, 5.9753 Å; angles 72.02, 58.95, 49.03 degrees
Element x y z (fractional)
Pa: 0.0000 0.0000 0.0000
Pa: 0.0000 0.0000 0.5000
Pa: 0.0000 0.5000 0.0000
Pa: 0.5000 0.0000 0.0000
Nb: 0.2473 0.2473 0.5027
Nb: 0.4973 0.4973 0.7527
Nb: 0.5027 0.5027 0.2473
Nb: 0.7527 0.7527 0.4973
C: 0.2007 0.5493 0.2007
C: 0.4507 0.7993 0.4507
C: 0.5493 0.2007 0.5493
C: 0.7993 0.4507 0.7993

***

Record 2
# PaNb2VC4
Computed powder XRD pattern, Cu Ka. Input: a crystal structure in Alexandria, relaxed with PBE.

Principal peaks in the range 2θ = 5–70°, low angle first:
- 17.72 deg, rel. 34.8
- 29.05 deg, rel. 69.3
- 31.85 deg, rel. 50.7
- 32.51 deg, rel. 42.3
- 33.03 deg, rel. 100.0
- 37.58 deg, rel. 46.4
- 40.26 deg, rel. 59.3
- 46.16 deg, rel. 27.8
- 52.23 deg, rel. 31.7
- 56.12 deg, rel. 23.6

Cell and atoms:
Cell lengths 5.8479, 5.8479, 11.0171 Å; angles 90.00, 90.00, 147.80 degrees
Element x y z (fractional)
Pa: 0.1099 0.8901 0.7500
Pa: 0.8901 0.1099 0.2500
Nb: 0.3710 0.6290 0.5403
Nb: 0.3710 0.6290 0.9597
Nb: 0.6290 0.3710 0.0403
Nb: 0.6290 0.3710 0.4597
V: 0.1550 0.8450 0.2500
V: 0.8450 0.1550 0.7500
C: 0.0000 0.0000 0.0000
C: 0.0000 0.0000 0.5000
C: 0.2648 0.7352 0.1180
C: 0.2648 0.7352 0.3820
C: 0.4477 0.5523 0.7500
C: 0.5523 0.4477 0.2500
C: 0.7352 0.2648 0.6180
C: 0.7352 0.2648 0.8820

***

Record 3
# Nb6PbC
Computed powder XRD pattern, Cu Ka. Input: a crystal structure in Alexandria, relaxed with PBE.

Principal peaks in the range 2θ = 5–70°, low angle first:
- 29.25 deg, rel. 33.7
- 29.43 deg, rel. 35.4
- 29.55 deg, rel. 33.4
- 34.33 deg, rel. 38.1
- 35.19 deg, rel. 58.9
- 35.29 deg, rel. 63.6
- 35.47 deg, rel. 100.0
- 35.74 deg, rel. 39.2
- 36.03 deg, rel. 39.6
- 47.33 deg, rel. 37.5

Cell and atoms:
Cell lengths 5.8435, 5.8937, 6.0541 Å; angles 91.05, 118.20, 119.47 degrees
Element x y z (fractional)
Nb: 0.0912 0.0718 0.2784
Nb: 0.2640 0.6879 0.2797
Nb: 0.2836 0.4771 0.7180
Nb: 0.7164 0.5229 0.2820
Nb: 0.7360 0.3121 0.7203
Nb: 0.9088 0.9282 0.7216
Pb: 0.5000 0.0000 0.0000
C: 0.5000 0.5000 0.5000

***

Record 4
# Nb10Pt6C
Computed powder XRD pattern, Cu Ka. Input: a crystal structure in Alexandria, relaxed with PBE.

Principal peaks in the range 2θ = 5–70°, low angle first:
- 12.76 deg, rel. 14.6
- 28.25 deg, rel. 26.5
- 34.19 deg, rel. 20.5
- 34.95 deg, rel. 22.2
- 38.55 deg, rel. 100.0
- 38.94 deg, rel. 28.0
- 41.79 deg, rel. 48.4
- 43.87 deg, rel. 18.1
- 50.65 deg, rel. 30.4
- 65.07 deg, rel. 21.2

Cell and atoms:
Cell lengths 8.0125, 8.0125, 5.1348 Å; angles 90.00, 90.00, 120.00 degrees
Element x y z (fractional)
Nb: 0.0000 0.2305 0.2429
Nb: 0.0000 0.7695 0.7571
Nb: 0.2305 0.0000 0.2429
Nb: 0.2305 0.2305 0.7571
Nb: 0.3333 0.6667 0.0000
Nb: 0.3333 0.6667 0.5000
Nb: 0.6667 0.3333 0.0000
Nb: 0.6667 0.3333 0.5000
Nb: 0.7695 0.0000 0.7571
Nb: 0.7695 0.7695 0.2429
Pt: 0.0000 0.4050 0.7477
Pt: 0.0000 0.5950 0.2523
Pt: 0.4050 0.0000 0.7477
Pt: 0.4050 0.4050 0.2523
Pt: 0.5950 0.0000 0.2523
Pt: 0.5950 0.5950 0.7477
C: 0.0000 0.0000 0.0000

***

Record 5
# PuNb2C2
Computed powder XRD pattern, Cu Ka. Input: a crystal structure in Alexandria, relaxed with PBE.

Principal peaks in the range 2θ = 5–70°, low angle first:
- 19.37 deg, rel. 35.9
- 25.54 deg, rel. 35.5
- 31.26 deg, rel. 53.3
- 32.39 deg, rel. 97.8
- 33.21 deg, rel. 47.7
- 33.81 deg, rel. 100.0
- 34.99 deg, rel. 45.5
- 40.05 deg, rel. 35.4
- 41.79 deg, rel. 55.7
- 65.19 deg, rel. 31.3

Cell and atoms:
Cell lengths 5.9751, 5.9751, 5.6143 Å; angles 105.84, 105.84, 117.40 degrees
Element x y z (fractional)
Pu: 0.1685 0.8315 0.7500
Pu: 0.8315 0.1685 0.2500
Nb: 0.2007 0.3979 0.9565
Nb: 0.3979 0.2007 0.4565
Nb: 0.6021 0.7993 0.5435
Nb: 0.7993 0.6021 0.0435
C: 0.2453 0.7547 0.2500
C: 0.4198 0.5802 0.7500
C: 0.5802 0.4198 0.2500
C: 0.7547 0.2453 0.7500

***

Record 6
# NbRuC
Computed powder XRD pattern, Cu Ka. Input: a crystal structure in Alexandria, relaxed with PBE.

Principal peaks in the range 2θ = 5–70°, low angle first:
- 34.16 deg, rel. 18.3
- 35.56 deg, rel. 79.8
- 37.79 deg, rel. 100.0
- 38.22 deg, rel. 29.8
- 39.51 deg, rel. 79.3
- 41.57 deg, rel. 28.2
- 48.36 deg, rel. 17.8
- 60.23 deg, rel. 15.5
- 62.97 deg, rel. 34.0
- 64.15 deg, rel. 19.0

Cell and atoms:
Cell lengths 6.8070, 7.5287, 3.0730 Å; angles 90.00, 90.00, 90.00 degrees
Element x y z (fractional)
Nb: 0.0000 0.2075 0.0000
Nb: 0.0000 0.7925 0.0000
Nb: 0.5000 0.2925 0.0000
Nb: 0.5000 0.7075 0.0000
Ru: 0.1961 0.5000 0.5000
Ru: 0.3039 0.0000 0.5000
Ru: 0.6961 0.0000 0.5000
Ru: 0.8039 0.5000 0.5000
C: 0.0000 0.0000 0.5000
C: 0.0000 0.5000 0.0000
C: 0.5000 0.0000 0.0000
C: 0.5000 0.5000 0.5000

***

Record 7
# ScNb4C4
Computed powder XRD pattern, Cu Ka. Input: a crystal structure in Alexandria, relaxed with PBE.

Principal peaks in the range 2θ = 5–70°, low angle first:
- 17.38 deg, rel. 14.1
- 24.68 deg, rel. 3.5
- 34.29 deg, rel. 100.0
- 39.50 deg, rel. 44.2
- 40.42 deg, rel. 22.6
- 50.60 deg, rel. 3.6
- 57.09 deg, rel. 13.0
- 57.79 deg, rel. 27.2
- 68.32 deg, rel. 19.4
- 69.57 deg, rel. 15.1

Cell and atoms:
Cell lengths 5.5685, 5.5685, 5.5685 Å; angles 99.24, 99.24, 132.75 degrees
Element x y z (fractional)
Sc: 0.0000 0.0000 0.0000
Nb: 0.1810 0.6154 0.7964
Nb: 0.3846 0.1810 0.5656
Nb: 0.6154 0.8190 0.4344
Nb: 0.8190 0.3846 0.2036
C: 0.1000 0.3025 0.4024
C: 0.3025 0.9000 0.2025
C: 0.6975 0.1000 0.7975
C: 0.9000 0.6975 0.5976

***

Record 8
# Nb4SiC2
Computed powder XRD pattern, Cu Ka. Input: a crystal structure in Alexandria, relaxed with PBE.

Principal peaks in the range 2θ = 5–70°, low angle first:
- 32.55 deg, rel. 52.1
- 34.20 deg, rel. 21.0
- 36.51 deg, rel. 100.0
- 37.34 deg, rel. 94.3
- 37.93 deg, rel. 22.9
- 38.27 deg, rel. 90.9
- 40.85 deg, rel. 28.8
- 55.39 deg, rel. 24.1
- 57.57 deg, rel. 37.9
- 68.18 deg, rel. 31.4

Cell and atoms:
Cell lengths 5.4992, 5.4992, 11.1502 Å; angles 90.00, 90.00, 144.89 degrees
Element x y z (fractional)
Nb: 0.0000 0.0000 0.0000
Nb: 0.0000 0.0000 0.5000
Nb: 0.2665 0.7335 0.6098
Nb: 0.2665 0.7335 0.8902
Nb: 0.4261 0.5739 0.2500
Nb: 0.5739 0.4261 0.7500
Nb: 0.7335 0.2665 0.1098
Nb: 0.7335 0.2665 0.3902
Si: 0.1080 0.8920 0.2500
Si: 0.8920 0.1080 0.7500
C: 0.3636 0.6364 0.0622
C: 0.3636 0.6364 0.4378
C: 0.6364 0.3636 0.5622
C: 0.6364 0.3636 0.9378

***

Record 9
# Nb5SiC
Computed powder XRD pattern, Cu Ka. Input: a crystal structure in Alexandria, relaxed with PBE.

Principal peaks in the range 2θ = 5–70°, low angle first:
- 35.51 deg, rel. 71.3
- 36.58 deg, rel. 100.0
- 37.48 deg, rel. 66.9
- 37.63 deg, rel. 98.4
- 38.32 deg, rel. 48.3
- 39.00 deg, rel. 43.4
- 39.88 deg, rel. 50.8
- 40.12 deg, rel. 98.0
- 41.48 deg, rel. 42.0
- 63.92 deg, rel. 38.7

Cell and atoms:
Cell lengths 5.6112, 5.6112, 9.0070 Å; angles 110.69, 110.69, 61.37 degrees
Element x y z (fractional)
Nb: 0.0198 0.9802 0.7500
Nb: 0.0227 0.3941 0.6157
Nb: 0.1887 0.5460 0.9534
Nb: 0.3941 0.0227 0.1157
Nb: 0.4540 0.8113 0.5466
Nb: 0.5460 0.1887 0.4534
Nb: 0.6059 0.9773 0.8843
Nb: 0.8113 0.4540 0.0466
Nb: 0.9773 0.6059 0.3843
Nb: 0.9802 0.0198 0.2500
Si: 0.4922 0.5078 0.2500
Si: 0.5078 0.4922 0.7500
C: 0.0000 0.0000 0.0000
C: 0.0000 0.0000 0.5000

***

Record 10
# NbSiSnC2
Computed powder XRD pattern, Cu Ka. Input: a crystal structure in Alexandria, relaxed with PBE.

Principal peaks in the range 2θ = 5–70°, low angle first:
- 21.69 deg, rel. 7.3
- 27.50 deg, rel. 100.0
- 30.86 deg, rel. 52.8
- 33.76 deg, rel. 29.7
- 44.20 deg, rel. 27.4
- 46.39 deg, rel. 35.1
- 52.85 deg, rel. 33.5
- 56.65 deg, rel. 13.6
- 56.76 deg, rel. 25.7
- 64.30 deg, rel. 8.8

Cell and atoms:
Cell lengths 4.0978, 4.0978, 5.3094 Å; angles 90.00, 90.00, 90.00 degrees
Element x y z (fractional)
Nb: 0.0000 0.0000 0.0000
Si: 0.5000 0.5000 0.0000
Sn: 0.5000 0.5000 0.5000
C: 0.0000 0.5000 0.5000
C: 0.5000 0.0000 0.5000

***

Record 11
# Nb8Sn2C
Computed powder XRD pattern, Cu Ka. Input: a crystal structure in Alexandria, relaxed with PBE.

Principal peaks in the range 2θ = 5–70°, low angle first:
- 33.88 deg, rel. 60.3
- 34.98 deg, rel. 13.8
- 35.20 deg, rel. 63.3
- 36.59 deg, rel. 21.9
- 36.77 deg, rel. 73.4
- 36.88 deg, rel. 61.6
- 39.22 deg, rel. 24.8
- 41.09 deg, rel. 100.0
- 49.65 deg, rel. 35.4
- 62.54 deg, rel. 19.9

Cell and atoms:
Cell lengths 7.9294, 7.9294, 5.0986 Å; angles 108.58, 108.58, 42.31 degrees
Element x y z (fractional)
Nb: 0.1484 0.1484 0.8542
Nb: 0.1834 0.7066 0.6964
Nb: 0.2524 0.2524 0.4505
Nb: 0.2934 0.8166 0.3036
Nb: 0.7066 0.1834 0.6964
Nb: 0.7476 0.7476 0.5495
Nb: 0.8166 0.2934 0.3036
Nb: 0.8516 0.8516 0.1458
Sn: 0.3606 0.3606 0.0551
Sn: 0.6394 0.6394 0.9449
C: 0.5000 0.5000 0.5000

***

Record 12
# Nb4Sn2C
Computed powder XRD pattern, Cu Ka. Input: a crystal structure in Alexandria, relaxed with PBE.

Principal peaks in the range 2θ = 5–70°, low angle first:
- 26.97 deg, rel. 17.1
- 32.16 deg, rel. 16.9
- 35.64 deg, rel. 35.2
- 36.92 deg, rel. 29.0
- 37.49 deg, rel. 100.0
- 39.74 deg, rel. 43.1
- 40.52 deg, rel. 25.7
- 44.57 deg, rel. 17.2
- 45.24 deg, rel. 16.7
- 55.59 deg, rel. 17.3

Cell and atoms:
Cell lengths 7.4051, 10.3120, 3.3065 Å; angles 90.00, 90.00, 90.00 degrees
Element x y z (fractional)
Nb: 0.1316 0.1890 0.0000
Nb: 0.1687 0.9227 0.5000
Nb: 0.3313 0.4227 0.5000
Nb: 0.3684 0.6890 0.0000
Nb: 0.6316 0.3110 0.0000
Nb: 0.6687 0.5773 0.5000
Nb: 0.8313 0.0773 0.5000
Nb: 0.8684 0.8110 0.0000
Sn: 0.0636 0.6355 0.5000
Sn: 0.4364 0.1355 0.5000
Sn: 0.5636 0.8645 0.5000
Sn: 0.9364 0.3645 0.5000
C: 0.0000 0.0000 0.0000
C: 0.5000 0.5000 0.0000

***

Record 13
# TaNbC2
Computed powder XRD pattern, Cu Ka. Input: a crystal structure in Alexandria, relaxed with PBE.

Principal peaks in the range 2θ = 5–70°, low angle first:
- 17.08 deg, rel. 14.2
- 33.07 deg, rel. 8.9
- 34.58 deg, rel. 100.0
- 40.14 deg, rel. 67.3
- 43.91 deg, rel. 4.2
- 52.92 deg, rel. 3.4
- 58.06 deg, rel. 44.5
- 61.02 deg, rel. 3.4
- 68.49 deg, rel. 1.2
- 69.37 deg, rel. 41.3

Cell and atoms:
Cell lengths 3.1760, 3.1760, 15.5771 Å; angles 90.00, 90.00, 120.00 degrees
Element x y z (fractional)
Ta: 0.0000 0.0000 0.0000
Ta: 0.3333 0.6667 0.6667
Ta: 0.6667 0.3333 0.3333
Nb: 0.0000 0.0000 0.5000
Nb: 0.3333 0.6667 0.1667
Nb: 0.6667 0.3333 0.8333
C: 0.0000 0.0000 0.2516
C: 0.0000 0.0000 0.7484
C: 0.3333 0.6667 0.4150
C: 0.3333 0.6667 0.9183
C: 0.6667 0.3333 0.0817
C: 0.6667 0.3333 0.5850